(1)
Starting from the PBE geometry in OQMD, the powder X-ray diffraction pattern of NaNdNO was calculated for Cu Ka.
Intensities are scaled so that the largest is 100.

Structure:
```
8
Lattice="4.8280 0.0000 0.0000 0.0000 4.3079 0.0000 0.0000 0.0000 6.7674" Properties=species:S:1:pos:R:3 pbc="T T T"
Na 1.2070 0.0000 1.2305
Na 3.6210 0.0000 5.5369
Nd 1.2070 2.1539 4.6975
Nd 3.6210 2.1539 2.0699
N 1.2070 0.0000 5.6449
N 3.6210 0.0000 1.1225
O 1.2070 2.1539 2.4087
O 3.6210 2.1539 4.3587
```

Most intense lines, 10 to 80 degrees two-theta, sorted by position:
2θ/deg	Rel. int.
20.62	58
22.62	78
24.50	32
26.34	41
30.80	100
37.25	34
41.94	24
45.38	30
48.18	21
60.11	25

---

(2)
Starting from the PBE geometry in OQMD, the powder X-ray diffraction pattern of PrSm3S3O4 was calculated for Cu Ka.
Intensities are scaled so that the largest is 100.

Structure:
```
11
Lattice="8.2857 0.0000 0.0000 0.0000 1.9545 6.2448 0.0000 -1.9545 6.2448" Properties=species:S:1:pos:R:3 pbc="T T T"
Pr 0.0000 0.0000 0.0000
Sm 2.2027 0.0000 8.4432
Sm 4.1428 0.0000 12.3073
Sm 6.0829 0.0000 8.4432
S 1.0859 0.0000 4.2076
S 4.1428 0.0000 3.7902
S 7.1998 0.0000 4.2076
O 0.0000 0.0000 7.5919
O 2.1479 0.0000 0.9395
O 4.1428 0.0000 7.2174
O 6.1378 0.0000 0.9395
```

Most intense lines, 10 to 80 degrees two-theta, sorted by position:
2θ/deg	Rel. int.
14.18	30
23.85	21
25.81	92
31.39	100
32.29	72
36.02	28
46.46	20
48.51	43
53.91	25
54.79	28

---

(3)
Starting from the PBE geometry in OQMD, the powder X-ray diffraction pattern of Tb2HoO3 was calculated for Cu Ka.
Intensities are scaled so that the largest is 100.

Structure:
```
6
Lattice="3.3993 0.0000 0.0000 -1.6996 2.9439 0.0000 0.0000 0.0000 8.3070" Properties=species:S:1:pos:R:3 pbc="T T T"
Tb 0.0000 1.9626 1.3875
Tb 1.6996 0.9813 6.9195
Ho 0.0000 0.0000 4.1535
O 0.0000 0.0000 0.0000
O 0.0000 1.9626 5.4629
O 1.6996 0.9813 2.8441
```

Most intense lines, 10 to 80 degrees two-theta, sorted by position:
2θ/deg	Rel. int.
32.28	100
37.44	77
53.99	52
64.30	33
64.39	11
67.51	13
67.67	4
79.88	8

---

(4)
Starting from the PBE geometry in OQMD, the powder X-ray diffraction pattern of KGdFeSe3 was calculated for Cu Ka.
Intensities are scaled so that the largest is 100.

Structure:
```
12
Lattice="2.0721 -7.4055 0.0000 2.0721 7.4055 0.0000 0.0000 0.0000 10.8833" Properties=species:S:1:pos:R:3 pbc="T T T"
K 2.0721 3.7530 8.1625
K 2.0721 -3.7530 2.7208
Gd 2.0721 0.0000 0.0000
Gd 2.0721 0.0000 5.4417
Fe 2.0721 6.9417 2.7208
Fe 2.0721 -6.9417 8.1625
Se 2.0721 5.5337 0.7509
Se 2.0721 5.5337 4.6907
Se 2.0721 0.9772 2.7208
Se 2.0721 -0.9772 8.1625
Se 2.0721 -5.5337 6.1926
Se 2.0721 -5.5337 10.1324
```

Most intense lines, 10 to 80 degrees two-theta, sorted by position:
2θ/deg	Rel. int.
11.95	100
27.38	23
28.11	35
29.31	40
32.66	48
32.92	18
35.14	16
40.11	28
40.96	37
43.68	21

---

(5)
Starting from the PBE geometry in OQMD, the powder X-ray diffraction pattern of Pr3Mg2InPdAu2 was calculated for Cu Ka.
Intensities are scaled so that the largest is 100.

Structure:
```
9
Lattice="4.1526 0.0000 0.0000 0.0000 6.7937 3.9377 0.0000 -6.7937 3.9377" Properties=species:S:1:pos:R:3 pbc="T T T"
Pr 0.0000 0.0000 0.0000
Pr 0.0000 -2.7548 2.9802
Pr 0.0000 2.7548 2.9802
Mg 2.0763 -1.6093 5.5438
Mg 2.0763 1.6093 5.5438
In 2.0763 0.0000 2.7310
Pd 0.0000 0.0000 4.6910
Au 2.0763 -4.4809 4.5612
Au 2.0763 4.4809 4.5612
```

Most intense lines, 10 to 80 degrees two-theta, sorted by position:
2θ/deg	Rel. int.
13.00	22
22.63	37
31.35	100
34.05	97
34.83	21
39.68	23
41.26	22
43.59	25
60.44	24
63.73	20

---

(6)
Starting from the PBE geometry in OQMD, the powder X-ray diffraction pattern of Dy2Lu5Te2Ir2 was calculated for Cu Ka.
Intensities are scaled so that the largest is 100.

Structure:
```
11
Lattice="-1.9575 7.7699 4.6521 1.9575 -7.7699 4.6521 1.9575 7.7699 -4.6521" Properties=species:S:1:pos:R:3 pbc="T T T"
Dy 0.0000 2.2946 0.0000
Dy 0.0000 13.2452 0.0000
Lu 1.9575 -2.0599 3.2533
Lu 1.9575 4.9119 1.2792
Lu 1.9575 2.0599 3.2533
Lu 0.0000 7.7699 2.4729
Lu 0.0000 2.8580 5.9313
Te 1.9575 0.0000 0.9799
Te 0.0000 0.0000 4.6590
Ir 1.9575 3.7275 -1.5370
Ir 0.0000 4.0424 3.1151
```

Most intense lines, 10 to 80 degrees two-theta, sorted by position:
2θ/deg	Rel. int.
11.39	24
28.58	13
30.37	55
33.68	45
33.90	100
34.60	50
36.98	23
38.81	25
46.39	27
58.54	19

---

(7)
Starting from the PBE geometry in OQMD, the powder X-ray diffraction pattern of NdGd2Cu4Sn2Ge2 was calculated for Cu Ka.
Intensities are scaled so that the largest is 100.

Structure:
```
11
Lattice="-2.1970 3.3904 7.3111 2.1970 -3.3904 7.3111 2.1970 3.3904 -7.3111" Properties=species:S:1:pos:R:3 pbc="T T T"
Nd 0.0000 0.0000 0.0000
Gd 2.1970 0.0000 5.4699
Gd 0.0000 3.3904 1.8411
Cu 2.1970 1.2778 -2.3324
Cu 2.1970 1.2778 2.3324
Cu 0.0000 2.1126 4.9787
Cu 0.0000 2.1126 9.6434
Sn 0.0000 0.0000 3.2031
Sn 0.0000 0.0000 11.4190
Ge 2.1970 2.1179 0.0000
Ge 0.0000 1.2725 7.3111
```

Most intense lines, 10 to 80 degrees two-theta, sorted by position:
2θ/deg	Rel. int.
26.29	14
33.37	27
33.96	72
34.55	100
38.28	12
41.08	35
44.17	17
53.92	14
70.66	12
78.27	16

---

(8)
Starting from the PBE geometry in OQMD, the powder X-ray diffraction pattern of AsIrF6 was calculated for Cu Ka.
Intensities are scaled so that the largest is 100.

Structure:
```
8
Lattice="0.0000 3.7215 3.7215 3.7215 0.0000 3.7215 3.7215 3.7215 0.0000" Properties=species:S:1:pos:R:3 pbc="T T T"
As 0.0000 0.0000 0.0000
Ir 1.8608 1.8608 1.8608
F 3.7215 3.7215 1.7911
F 3.7215 1.7911 3.7215
F 5.6519 3.7215 3.7215
F 1.7911 3.7215 3.7215
F 3.7215 5.6519 3.7215
F 3.7215 3.7215 5.6519
```

Most intense lines, 10 to 80 degrees two-theta, sorted by position:
2θ/deg	Rel. int.
20.67	100
34.07	52
40.18	53
42.05	19
48.95	25
53.68	22
60.98	21
65.12	18
71.74	15
75.58	17

---

(9)
Starting from the PBE geometry in OQMD, the powder X-ray diffraction pattern of Fe2BAs was calculated for Cu Ka.
Intensities are scaled so that the largest is 100.

Structure:
```
16
Lattice="5.4489 0.0000 0.0000 0.0000 5.4489 0.0000 0.0000 0.0000 5.4489" Properties=species:S:1:pos:R:3 pbc="T T T"
Fe 1.2617 1.2617 1.2617
Fe 1.2617 1.2617 4.1873
Fe 1.2617 4.1873 1.2617
Fe 1.2617 4.1873 4.1873
Fe 4.1873 1.2617 1.2617
Fe 4.1873 1.2617 4.1873
Fe 4.1873 4.1873 1.2617
Fe 4.1873 4.1873 4.1873
B 0.0000 0.0000 0.0000
B 0.0000 0.0000 2.7245
B 0.0000 2.7245 0.0000
B 2.7245 0.0000 0.0000
As 0.0000 2.7245 2.7245
As 2.7245 0.0000 2.7245
As 2.7245 2.7245 0.0000
As 2.7245 2.7245 2.7245
```

Most intense lines, 10 to 80 degrees two-theta, sorted by position:
2θ/deg	Rel. int.
16.27	8
28.37	9
32.87	3
36.89	25
47.18	100
50.23	8
55.97	4
68.93	14
71.37	9
76.15	2

---

(10)
Starting from the PBE geometry in OQMD, the powder X-ray diffraction pattern of Nb2Tl3W4C3 was calculated for Cu Ka.
Intensities are scaled so that the largest is 100.

Structure:
```
24
Lattice="4.8233 -2.7847 0.0000 4.8233 2.7847 0.0000 -3.2185 0.0000 14.0805" Properties=species:S:1:pos:R:3 pbc="T T T"
Nb 2.4192 2.3266 8.2192
Nb 2.3997 2.3266 12.9016
Nb 4.0285 -2.3266 1.1789
Nb 4.0089 -2.3266 5.8613
Tl -0.7575 0.4851 10.5671
Tl 0.8517 -0.4851 3.5269
Tl 2.4095 0.4044 10.5604
Tl 4.0187 -0.4044 3.5201
Tl 5.5764 0.4851 10.5537
Tl 7.1857 -0.4851 3.5134
W 2.3923 0.4587 1.0635
W 2.4113 0.4832 5.9771
W 0.7830 -0.4587 8.1038
W 0.8020 -0.4832 13.0174
W 5.6262 0.4832 1.0632
W 5.6451 0.4587 5.9768
W 4.0169 -0.4832 8.1034
W 4.0359 -0.4587 13.0170
C 0.8024 1.3923 7.0403
C 4.0043 1.3639 0.0016
C 4.0331 1.3639 7.0386
C 2.4117 -1.3923 0.0000
C 2.3950 -1.3639 7.0419
C 2.4239 -1.3639 14.0789
```

Most intense lines, 10 to 80 degrees two-theta, sorted by position:
2θ/deg	Rel. int.
25.30	2
32.14	23
37.56	100
38.36	20
50.88	15
57.31	20
67.24	3
68.83	16
70.55	16
71.07	20

---

(11)
Starting from the PBE geometry in OQMD, the powder X-ray diffraction pattern of Dy2Y2Er2LuNi2Te2 was calculated for Cu Ka.
Intensities are scaled so that the largest is 100.

Structure:
```
11
Lattice="-1.9204 7.7901 4.7849 1.9204 -7.7901 4.7849 1.9204 7.7901 -4.7849" Properties=species:S:1:pos:R:3 pbc="T T T"
Dy 0.0000 2.0498 0.0000
Dy 0.0000 13.5304 0.0000
Y 0.0000 4.9174 1.9275
Y 0.0000 10.6627 1.9275
Er 1.9204 -2.2801 3.3537
Er 1.9204 2.2801 3.3537
Lu 0.0000 0.0000 5.5673
Ni 1.9204 4.0748 0.0906
Ni 0.0000 3.7153 4.8755
Te 0.0000 0.0000 2.3567
Te 0.0000 7.7901 3.3101
```

Most intense lines, 10 to 80 degrees two-theta, sorted by position:
2θ/deg	Rel. int.
28.56	15
30.16	14
30.39	51
32.95	60
34.10	100
34.56	48
38.46	15
47.34	23
51.15	24
58.89	29